Entry 1:
Simulated powder X-ray diffraction pattern of Ho4Ge2Te for Cu Kα (λ = 1.5418 Å), from a PBE-relaxed structure.
Lines closer than 0.1° are merged.

Main lines, most intense first (2θ from 10° to 80°):
2θ (°)	d [Å]	I_rel
41.79	2.162	100
25.23	3.530	81
29.21	3.057	77
38.24	2.353	73
20.54	4.323	26
53.52	1.712	23

Cell and atoms:
```
Ho4Ge2Te
1.0
-4.324 4.324 6.112
4.324 -4.324 6.112
4.324 4.324 -6.112
Ho Ge Te
8 4 2
Direct
0.269 0.307 0.538 Ho
0.269 0.731 0.538 Ho
0.269 0.731 0.962 Ho
0.307 0.269 0.038 Ho
0.693 0.731 0.962 Ho
0.731 0.269 0.038 Ho
0.731 0.269 0.462 Ho
0.731 0.693 0.462 Ho
0.000 0.500 0.500 Ge
0.500 0.000 0.000 Ge
0.500 0.500 0.000 Ge
0.500 0.500 0.500 Ge
0.125 0.875 0.250 Te
0.875 0.125 0.750 Te
```

***

Entry 2:
Simulated powder X-ray diffraction pattern of Ho7Ge2Te2 for Cu Kα (λ = 1.5418 Å), from a PBE-relaxed structure.
Lines closer than 0.1° are merged.

Main lines, most intense first (2θ from 10° to 80°):
2θ (°)	d [Å]	I_rel
36.87	2.438	100
26.43	3.373	57
34.06	2.632	53
23.87	3.728	47
28.56	3.126	34
37.57	2.394	32

Cell and atoms:
```
Ho7Ge2Te2
1.0
4.392 -5.265 0.000
4.392 5.265 0.000
0.000 0.000 7.054
Ho Ge Te
7 2 2
Direct
0.000 0.000 0.000 Ho
0.000 0.500 0.279 Ho
0.000 0.500 0.721 Ho
0.500 0.000 0.279 Ho
0.500 0.000 0.721 Ho
0.500 0.500 0.270 Ho
0.500 0.500 0.730 Ho
0.209 0.209 0.500 Ge
0.791 0.791 0.500 Ge
0.281 0.719 0.000 Te
0.719 0.281 0.000 Te
```

***

Entry 3:
Simulated powder X-ray diffraction pattern of Ho3GeTe for Cu Kα (λ = 1.5418 Å), from a PBE-relaxed structure.
Lines closer than 0.1° are merged.

Main lines, most intense first (2θ from 10° to 80°):
2θ (°)	d [Å]	I_rel
33.03	2.712	100
32.52	2.753	52
31.20	2.866	52
32.26	2.775	35
40.36	2.235	30
20.03	4.433	23

Cell and atoms:
```
Ho3GeTe
1.0
7.236 -5.581 0.000
7.236 5.581 0.000
-0.263 0.000 7.316
Ho Ge Te
12 4 4
Direct
0.041 0.151 0.082 Ho
0.151 0.041 0.582 Ho
0.152 0.643 0.563 Ho
0.282 0.504 0.071 Ho
0.357 0.848 0.937 Ho
0.496 0.718 0.429 Ho
0.504 0.282 0.571 Ho
0.643 0.152 0.063 Ho
0.718 0.496 0.929 Ho
0.848 0.357 0.437 Ho
0.849 0.959 0.418 Ho
0.959 0.849 0.918 Ho
0.171 0.829 0.250 Ge
0.434 0.566 0.750 Ge
0.566 0.434 0.250 Ge
0.829 0.171 0.750 Ge
0.184 0.329 0.384 Te
0.329 0.184 0.884 Te
0.671 0.816 0.116 Te
0.816 0.671 0.616 Te
```